# 1
# PmErNiPt
Simulated XRD peak list, Cu Kα. Input: a crystal structure in Alexandria, relaxed with PBE.
Neutral-atom scattering factors, no anomalous dispersion.

Top 10 peaks for 2θ = 10–90°, in order of falling intensity:
- 32.0°, d = 2.797 Å, intensity 100
- 40.7°, d = 2.215 Å, intensity 86
- 35.0°, d = 2.560 Å, intensity 55
- 40.9°, d = 2.208 Å, intensity 30
- 83.0°, d = 1.163 Å, intensity 23
- 47.0°, d = 1.932 Å, intensity 20
- 54.9°, d = 1.672 Å, intensity 18
- 54.9°, d = 1.673 Å, intensity 18
- 64.0°, d = 1.454 Å, intensity 16
- 63.9°, d = 1.456 Å, intensity 13

Crystal structure
Unit cell a=4.416 b=3.863 c=10.247 alpha=90.00 beta=90.00 gamma=90.00
Sites, in units of the cell vectors:
Pm 0.000 0.000 0.000
Pm 0.000 0.500 0.500
Er 0.500 0.000 0.281
Er 0.500 0.500 0.781
Ni 0.000 0.000 0.723
Ni 0.000 0.500 0.223
Pt 0.500 0.000 0.568
Pt 0.500 0.500 0.068

***

# 2
# Ac2YAl4Au3
Simulated XRD peak list, Cu Kα. Input: a crystal structure in Alexandria, relaxed with PBE.
Neutral-atom scattering factors, no anomalous dispersion.

Top 10 peaks for 2θ = 10–90°, in order of falling intensity:
- 30.2°, d = 2.961 Å, intensity 100
- 32.0°, d = 2.798 Å, intensity 86
- 40.1°, d = 2.246 Å, intensity 61
- 29.1°, d = 3.067 Å, intensity 55
- 51.0°, d = 1.789 Å, intensity 50
- 28.1°, d = 3.176 Å, intensity 31
- 43.3°, d = 2.091 Å, intensity 28
- 22.6°, d = 3.938 Å, intensity 26
- 60.5°, d = 1.530 Å, intensity 21
- 58.1°, d = 1.588 Å, intensity 21

Crystal structure
Unit cell a=4.492 b=4.492 c=11.814 alpha=90.00 beta=90.00 gamma=90.00
Sites, in units of the cell vectors:
Ac 0.000 0.500 0.234
Ac 0.500 0.000 0.766
Y 0.000 0.000 0.500
Al 0.000 0.000 0.000
Al 0.000 0.500 0.663
Al 0.500 0.000 0.337
Al 0.500 0.500 0.000
Au 0.000 0.500 0.882
Au 0.500 0.000 0.118
Au 0.500 0.500 0.500

***

# 3
# Fe4TcCl
Simulated XRD peak list, Cu Kα. Input: a crystal structure in Alexandria, relaxed with PBE.
Neutral-atom scattering factors, no anomalous dispersion.

Top 10 peaks for 2θ = 10–90°, in order of falling intensity:
- 44.0°, d = 2.059 Å, intensity 100
- 46.0°, d = 1.972 Å, intensity 36
- 37.2°, d = 2.415 Å, intensity 31
- 71.8°, d = 1.314 Å, intensity 28
- 79.4°, d = 1.207 Å, intensity 22
- 22.5°, d = 3.943 Å, intensity 11
- 67.1°, d = 1.394 Å, intensity 10
- 26.1°, d = 3.415 Å, intensity 9
- 60.6°, d = 1.527 Å, intensity 4
- 53.7°, d = 1.708 Å, intensity 3

Crystal structure
Unit cell a=4.830 b=4.830 c=4.830 alpha=60.00 beta=60.00 gamma=60.00
Sites, in units of the cell vectors:
Fe 0.125 0.125 0.125
Fe 0.125 0.125 0.626
Fe 0.125 0.626 0.125
Fe 0.626 0.125 0.125
Tc 0.750 0.750 0.750
Cl 0.500 0.500 0.500